Simulated powder XRD pattern of TlHg3Bi3 for Cu Kα, 1.54184 Å, from the PBE geometry in Alexandria.
Kinematic intensities with the Lorentz-polarization factor, no thermal factor.

Principal peaks in the range 10 to 90 degrees two-theta, by angle:
29.13 deg, rel. 24
31.80 deg, rel. 25
33.28 deg, rel. 100
43.67 deg, rel. 16
51.64 deg, rel. 19
57.61 deg, rel. 22
61.94 deg, rel. 22
62.84 deg, rel. 16
85.58 deg, rel. 13
88.85 deg, rel. 9

Crystal structure
Unit cell a=9.365 b=9.365 c=5.628 alpha=90.00 beta=90.00 gamma=120.00
Positions (direct):
Tl1 0.333 0.667 0.250
Tl2 0.667 0.333 0.750
Hg1 0.099 0.613 0.750
Hg2 0.387 0.485 0.750
Hg3 0.485 0.099 0.250
Hg4 0.515 0.901 0.750
Hg5 0.613 0.515 0.250
Hg6 0.901 0.387 0.250
Bi1 0.048 0.824 0.250
Bi2 0.176 0.224 0.250
Bi3 0.224 0.048 0.750
Bi4 0.776 0.952 0.250
Bi5 0.824 0.776 0.750
Bi6 0.952 0.176 0.750